1.
The following is a calculated XRD peak list of Tb5Dy3. It was derived from a DFT-relaxed cell (GGA-PBE, Alexandria), using Cu Kα X-rays.

Crystal structure
```
Tb5Dy3
1.0
3.627 0.000 0.000
0.000 5.639 0.000
0.000 0.000 12.548
Tb Dy
5 3
direct
0.000 0.000 0.000
0.000 0.000 0.499
0.000 0.500 0.832
0.500 0.000 0.750
0.500 0.500 0.581
0.000 0.500 0.332
0.500 0.000 0.249
0.500 0.500 0.082
```

Principal peaks in the range 2θ = 5–70°, in order of falling intensity:
| 2θ (°) | intensity |
| --- | --- |
| 32.64 | 100 |
| 32.66 | 49 |
| 31.73 | 36 |
| 28.43 | 36 |
| 60.75 | 34 |
| 57.11 | 30 |
| 50.35 | 30 |
| 43.12 | 23 |
| 61.28 | 16 |
| 61.35 | 8 |
| 68.41 | 6 |
| 58.83 | 5 |

***

2.
The following is a calculated XRD peak list of Tb2Y2Cd3. It was derived from a DFT-relaxed cell (GGA-PBE, Alexandria), using Cu Kα X-rays.

Crystal structure
```
Tb2Y2Cd3
1.0
4.539 -2.635 0.000
4.539 2.635 0.000
-3.001 0.000 8.412
Tb Y Cd
2 2 3
direct
0.117 0.117 0.354
0.883 0.883 0.646
0.370 0.370 0.113
0.630 0.630 0.887
0.247 0.247 0.740
0.500 0.500 0.500
0.753 0.753 0.260
```

Principal peaks in the range 2θ = 5–70°, in order of falling intensity:
| 2θ (°) | intensity |
| --- | --- |
| 34.60 | 100 |
| 34.17 | 73 |
| 34.03 | 37 |
| 10.52 | 27 |
| 61.44 | 24 |
| 49.30 | 24 |
| 61.27 | 19 |
| 26.37 | 18 |
| 60.99 | 13 |
| 49.55 | 12 |
| 62.26 | 10 |
| 35.85 | 6 |

***

3.
The following is a calculated XRD peak list of Ba7RhAu4. It was derived from a DFT-relaxed cell (GGA-PBE, Alexandria), using Cu Kα X-rays.

Crystal structure
```
Ba7RhAu4
1.0
7.750 -2.308 0.000
7.750 2.308 0.000
-3.734 0.000 13.499
Ba Rh Au
7 1 4
direct
0.000 0.000 0.000
0.216 0.216 0.852
0.282 0.282 0.406
0.528 0.528 0.275
0.595 0.595 0.585
0.745 0.745 0.139
0.905 0.905 0.681
0.140 0.140 0.206
0.250 0.250 0.630
0.371 0.371 0.063
0.554 0.554 0.822
0.950 0.950 0.446
```

Principal peaks in the range 2θ = 5–70°, in order of falling intensity:
| 2θ (°) | intensity |
| --- | --- |
| 25.93 | 100 |
| 27.24 | 76 |
| 28.32 | 67 |
| 26.33 | 57 |
| 39.02 | 53 |
| 20.14 | 47 |
| 38.78 | 45 |
| 34.72 | 45 |
| 19.94 | 37 |
| 30.02 | 34 |
| 25.69 | 27 |
| 32.10 | 26 |

***

4.
The following is a calculated XRD peak list of Ce3In2Ag. It was derived from a DFT-relaxed cell (GGA-PBE, Alexandria), using Cu Kα X-rays.

Crystal structure
```
Ce3In2Ag
1.0
3.296 0.000 0.000
0.000 3.296 0.000
0.000 0.000 14.180
Ce In Ag
3 2 1
direct
0.000 0.000 0.000
0.000 0.000 0.342
0.000 0.000 0.658
0.500 0.500 0.172
0.500 0.500 0.828
0.500 0.500 0.500
```

Principal peaks in the range 2θ = 5–70°, in order of falling intensity:
| 2θ (°) | intensity |
| --- | --- |
| 33.14 | 100 |
| 38.64 | 33 |
| 66.45 | 26 |
| 55.37 | 22 |
| 38.08 | 16 |
| 65.69 | 12 |
| 55.79 | 11 |
| 69.55 | 11 |
| 59.19 | 1 |
| 18.77 | 1 |
| 27.06 | 1 |
| 37.25 | 1 |

***

5.
The following is a calculated XRD peak list of Mg3Hg2Au. It was derived from a DFT-relaxed cell (GGA-PBE, Alexandria), using Cu Kα X-rays.

Crystal structure
```
Mg3Hg2Au
1.0
3.332 0.000 0.000
0.000 3.332 0.000
0.000 0.000 10.917
Mg Hg Au
3 2 1
direct
0.000 0.000 0.000
0.000 0.000 0.353
0.000 0.000 0.647
0.500 0.500 0.176
0.500 0.500 0.824
0.500 0.500 0.500
```

Principal peaks in the range 2θ = 5–70°, in order of falling intensity:
| 2θ (°) | intensity |
| --- | --- |
| 36.57 | 100 |
| 26.76 | 68 |
| 38.20 | 46 |
| 24.46 | 41 |
| 67.98 | 33 |
| 45.88 | 33 |
| 64.73 | 18 |
| 57.73 | 16 |
| 55.13 | 16 |
| 61.19 | 14 |
| 62.31 | 14 |
| 50.14 | 9 |

***

6.
The following is a calculated XRD peak list of Ca8ZnSi2. It was derived from a DFT-relaxed cell (GGA-PBE, Alexandria), using Cu Kα X-rays.

Crystal structure
```
Ca8ZnSi2
1.0
-2.460 4.348 7.569
2.460 -4.348 7.569
2.460 4.348 -7.569
Ca Zn Si
8 1 2
direct
0.131 0.339 0.792
0.140 0.140 0.000
0.322 0.000 0.322
0.453 0.661 0.792
0.547 0.339 0.208
0.678 0.000 0.678
0.860 0.860 0.000
0.869 0.661 0.208
0.000 0.500 0.500
0.303 0.803 0.500
0.697 0.197 0.500
```

Principal peaks in the range 2θ = 5–70°, in order of falling intensity:
| 2θ (°) | intensity |
| --- | --- |
| 32.72 | 100 |
| 31.55 | 38 |
| 36.53 | 26 |
| 31.42 | 23 |
| 35.58 | 19 |
| 23.88 | 14 |
| 48.93 | 14 |
| 63.36 | 13 |
| 51.92 | 12 |
| 52.81 | 10 |
| 65.93 | 10 |
| 61.65 | 10 |

***

7.
The following is a calculated XRD peak list of Ti2SbTe. It was derived from a DFT-relaxed cell (GGA-PBE, Alexandria), using Cu Kα X-rays.

Crystal structure
```
Ti2SbTe
1.0
7.510 0.000 0.000
0.000 6.875 0.000
-0.003 0.000 6.647
Ti Sb Te
8 4 4
direct
0.125 0.188 0.006
0.125 0.312 0.506
0.373 0.689 0.497
0.373 0.811 0.997
0.627 0.189 0.003
0.627 0.311 0.503
0.875 0.688 0.494
0.875 0.812 0.994
0.377 0.079 0.297
0.377 0.421 0.797
0.623 0.579 0.203
0.623 0.921 0.703
0.126 0.578 0.205
0.126 0.922 0.705
0.874 0.078 0.295
0.874 0.422 0.795
```

Principal peaks in the range 2θ = 5–70°, in order of falling intensity:
| 2θ (°) | intensity |
| --- | --- |
| 30.27 | 100 |
| 29.25 | 51 |
| 38.47 | 42 |
| 46.42 | 28 |
| 37.65 | 21 |
| 37.98 | 20 |
| 48.49 | 18 |
| 42.88 | 18 |
| 57.64 | 15 |
| 36.09 | 14 |
| 55.22 | 13 |
| 54.42 | 13 |

***

8.
The following is a calculated XRD peak list of KHg5Cl11. It was derived from a DFT-relaxed cell (GGA-PBE, Alexandria), using Cu Kα X-rays.

Crystal structure
```
KHg5Cl11
1.0
6.069 -7.508 0.000
6.069 7.508 0.000
-3.191 0.000 5.956
K Hg Cl
1 5 11
direct
0.000 0.000 0.000
0.024 0.348 0.679
0.348 0.024 0.679
0.500 0.500 0.000
0.652 0.976 0.321
0.976 0.652 0.321
0.000 0.000 0.500
0.126 0.710 0.697
0.167 0.415 0.058
0.290 0.874 0.303
0.357 0.357 0.617
0.415 0.167 0.058
0.585 0.833 0.942
0.643 0.643 0.383
0.710 0.126 0.697
0.833 0.585 0.942
0.874 0.290 0.303
```

Principal peaks in the range 2θ = 5–70°, in order of falling intensity:
| 2θ (°) | intensity |
| --- | --- |
| 14.43 | 100 |
| 28.54 | 55 |
| 19.58 | 42 |
| 29.45 | 40 |
| 22.14 | 34 |
| 29.06 | 32 |
| 20.38 | 25 |
| 28.85 | 22 |
| 35.88 | 22 |
| 44.30 | 18 |
| 46.11 | 18 |
| 19.02 | 18 |

***

9.
The following is a calculated XRD peak list of Cs4CrS5. It was derived from a DFT-relaxed cell (GGA-PBE, Alexandria), using Cu Kα X-rays.

Crystal structure
```
Cs4CrS5
1.0
8.548 -2.795 0.000
8.548 2.795 0.000
-8.487 0.000 8.556
Cs Cr S
4 1 5
direct
0.099 0.099 0.345
0.252 0.252 0.850
0.748 0.748 0.150
0.901 0.901 0.655
0.602 0.398 0.500
0.327 0.338 0.404
0.423 0.435 0.260
0.565 0.577 0.740
0.662 0.673 0.596
0.972 0.028 0.500
```

Principal peaks in the range 2θ = 5–70°, in order of falling intensity:
| 2θ (°) | intensity |
| --- | --- |
| 22.88 | 100 |
| 31.09 | 39 |
| 10.34 | 29 |
| 23.19 | 24 |
| 23.33 | 23 |
| 39.95 | 23 |
| 32.02 | 22 |
| 34.44 | 16 |
| 34.62 | 15 |
| 33.19 | 12 |
| 33.06 | 12 |
| 51.90 | 9 |

***

10.
The following is a calculated XRD peak list of InPd2Rh. It was derived from a DFT-relaxed cell (GGA-PBE, Alexandria), using Cu Kα X-rays.

Crystal structure
```
InPd2Rh
1.0
4.107 0.000 0.000
0.000 3.860 0.000
0.000 0.000 8.184
In Pd Rh
2 4 2
direct
0.250 0.000 0.141
0.750 0.000 0.859
0.250 0.000 0.621
0.250 0.500 0.377
0.750 0.000 0.379
0.750 0.500 0.623
0.250 0.500 0.879
0.750 0.500 0.121
```

Principal peaks in the range 2θ = 5–70°, in order of falling intensity:
| 2θ (°) | intensity |
| --- | --- |
| 38.85 | 100 |
| 44.10 | 18 |
| 44.27 | 17 |
| 47.09 | 14 |
| 64.27 | 11 |
| 66.49 | 10 |
| 66.61 | 10 |

***

11.
The following is a calculated XRD peak list of Sm2Dy2YSc. It was derived from a DFT-relaxed cell (GGA-PBE, Alexandria), using Cu Kα X-rays.

Crystal structure
```
Sm2Dy2YSc
1.0
6.429 0.000 0.000
0.000 6.934 0.000
-2.152 0.000 8.536
Sm Dy Y Sc
4 4 2 2
direct
0.145 0.250 0.348
0.204 0.750 0.995
0.796 0.250 0.005
0.855 0.750 0.652
0.399 0.000 0.695
0.399 0.500 0.695
0.601 0.000 0.305
0.601 0.500 0.305
0.102 0.750 0.350
0.898 0.250 0.650
0.302 0.250 0.998
0.698 0.750 0.002
```

Principal peaks in the range 2θ = 5–70°, in order of falling intensity:
| 2θ (°) | intensity |
| --- | --- |
| 31.44 | 100 |
| 29.48 | 96 |
| 31.12 | 89 |
| 34.20 | 86 |
| 32.51 | 81 |
| 32.91 | 78 |
| 33.29 | 45 |
| 52.80 | 37 |
| 46.29 | 30 |
| 20.06 | 28 |
| 62.77 | 27 |
| 60.30 | 27 |

***

12.
The following is a calculated XRD peak list of Y4Pd7Pb. It was derived from a DFT-relaxed cell (GGA-PBE, Alexandria), using Cu Kα X-rays.

Crystal structure
```
Y4Pd7Pb
1.0
5.445 -2.622 0.000
5.445 2.622 0.000
-5.308 0.000 9.110
Y Pd Pb
4 7 1
direct
0.093 0.093 0.283
0.289 0.289 0.865
0.711 0.711 0.135
0.907 0.907 0.717
0.000 0.000 0.500
0.133 0.133 0.023
0.286 0.286 0.593
0.426 0.426 0.184
0.574 0.574 0.816
0.714 0.714 0.407
0.867 0.867 0.977
0.500 0.500 0.500
```

Principal peaks in the range 2θ = 5–70°, in order of falling intensity:
| 2θ (°) | intensity |
| --- | --- |
| 34.21 | 100 |
| 39.41 | 42 |
| 34.02 | 37 |
| 34.53 | 31 |
| 38.77 | 31 |
| 49.01 | 26 |
| 30.29 | 24 |
| 39.26 | 24 |
| 49.38 | 23 |
| 49.17 | 21 |
| 39.64 | 18 |
| 25.30 | 14 |